(1)
Starting from a cell relaxed with GGA-PBE, the X-ray diffraction stick pattern of Hg6S4Br3Cl was calculated for Cu Kα (weighted mean of Kα1 and Kα2).

abc: 18.677 9.464 10.594
angles: 90.00 116.89 90.00
Space group C2/m (No. 12)
Inequivalent atoms, fractional coordinates:
Hg 0.074 0.000 0.225
Hg 0.074 0.268 0.795
Hg 0.131 0.263 0.505
Hg 0.217 0.000 0.788
S 0.066 0.257 0.247
S 0.196 0.256 0.762
Br 0.000 0.000 0.500
Br 0.000 0.500 0.500
Br 0.119 0.000 0.990
Br 0.249 0.000 0.502
Cl 0.125 0.500 0.987

Main lines, sorted by position (2θ from 10° to 90°):
hkl 0 0 3, 2θ = 28.36°, I 82.8; hkl 4 2 -3, 2θ = 32.80°, I 100.0; hkl 4 2 1, 2θ = 33.10°, I 90.8; hkl 0 4 0, 2θ = 38.03°, I 54.5; hkl 8 0 -2, 2θ = 38.57°, I 44.0; hkl 0 4 4, 2θ = 54.95°, I 45.2


(2)
Starting from a cell relaxed with GGA-PBE, the X-ray diffraction stick pattern of Hg3S2BrCl was calculated for Cu Kα (weighted mean of Kα1 and Kα2).

abc: 18.095 9.588 9.491
angles: 90.00 90.33 90.00
Space group C2/m (No. 12)
Inequivalent atoms, fractional coordinates:
Hg 0.000 0.245 0.000
Hg 0.022 0.500 0.283
Hg 0.125 0.231 0.701
Hg 0.229 0.000 0.289
Hg 0.250 0.250 0.000
S 0.009 0.247 0.257
S 0.241 0.251 0.258
Br 0.125 0.000 0.978
Br 0.125 0.500 0.994
Cl 0.116 0.500 0.528
Cl 0.128 0.000 0.519

Main lines, sorted by position (2θ from 10° to 90°):
hkl 2 2 -1, 2θ = 22.99°, I 68.7; hkl 0 0 3, 2θ = 28.21°, I 83.1; hkl 4 2 1, 2θ = 28.72°, I 100.0; hkl 4 2 -2, 2θ = 33.07°, I 98.7; hkl 4 2 2, 2θ = 33.20°, I 95.1; hkl 0 4 0, 2θ = 37.52°, I 62.1


(3)
Starting from a cell relaxed with GGA-PBE, the X-ray diffraction stick pattern of SbI3Br2Cl6 was calculated for Cu Kα (weighted mean of Kα1 and Kα2).

abc: 7.668 8.039 8.088
angles: 93.24 92.42 102.05
Space group P-1 (No. 2)
Inequivalent atoms, fractional coordinates:
Sb 0.000 0.000 0.000
I 0.000 0.500 0.500
I 0.315 0.735 0.660
Br 0.492 0.254 0.590
Cl 0.091 0.028 0.287
Cl 0.138 0.747 0.969
Cl 0.277 0.185 0.943

Main lines, sorted by position (2θ from 10° to 90°):
hkl 0 1 -1, 2θ = 15.22°, I 100.0; hkl 1 0 1, 2θ = 16.60°, I 86.0; hkl 1 -1 1, 2θ = 18.18°, I 43.0; hkl -1 1 1, 2θ = 18.30°, I 53.1; hkl 1 -2 0, 2θ = 23.27°, I 96.4; hkl 3 1 -1, 2θ = 41.00°, I 41.5


(4)
Starting from a cell relaxed with GGA-PBE, the X-ray diffraction stick pattern of IrPtBr4N5Cl was calculated for Cu Kα (weighted mean of Kα1 and Kα2).

abc: 17.522 8.497 7.914
angles: 90.00 90.00 90.00
Space group Pnma (No. 62)
Inequivalent atoms, fractional coordinates:
Ir 0.115 0.250 0.150
Pt 0.217 0.250 0.561
Br 0.008 0.250 0.437
Br 0.184 0.750 0.285
Br 0.193 0.521 0.645
N 0.049 0.091 0.328
N 0.151 0.078 0.056
N 0.188 0.250 0.343
Cl 0.002 0.250 0.992

Main lines, sorted by position (2θ from 10° to 90°):
hkl 2 0 0, 2θ = 10.10°, I 86.2; hkl 2 1 0, 2θ = 14.52°, I 100.0; hkl 3 1 1, 2θ = 21.61°, I 68.6; hkl 1 0 2, 2θ = 23.04°, I 82.9; hkl 2 2 1, 2θ = 25.88°, I 68.5; hkl 5 0 1, 2θ = 27.84°, I 67.9


(5)
Starting from a cell relaxed with GGA-PBE, the X-ray diffraction stick pattern of K3BrCl2 was calculated for Cu Kα (weighted mean of Kα1 and Kα2).

abc: 4.5877 4.5877 11.2519
angles: 90.00 90.00 120.00
Space group P-3m1 (No. 164)
Inequivalent atoms, fractional coordinates:
K 0.0000 0.0000 0.0000
K 0.3333 0.6667 0.6770
Br 0.0000 0.0000 0.5000
Cl 0.3333 0.6667 0.1619

Main lines, sorted by position (2θ from 10° to 90°):
hkl 0 1 2, 2θ = 27.48°, I 100.0; hkl 1 1 0, 2θ = 39.26°, I 68.6; hkl 2 0 2, 2θ = 48.59°, I 23.6; hkl 0 2 4, 2θ = 56.73°, I 10.5; hkl 1 2 2, 2θ = 64.17°, I 28.0; hkl 3 0 0, 2θ = 71.16°, I 20.4


(6)
Starting from a cell relaxed with GGA-PBE, the X-ray diffraction stick pattern of K5BrCl4 was calculated for Cu Kα (weighted mean of Kα1 and Kα2).

abc: 4.5661 4.5661 56.0014
angles: 90.00 90.00 120.00
Space group R-3m (No. 166, hexagonal axes)
Inequivalent atoms, fractional coordinates:
K 0.0000 0.0000 0.0000
K 0.0000 0.0000 0.2018
K 0.0000 0.0000 0.3999
Br 0.0000 0.0000 0.5000
Cl 0.0000 0.0000 0.0995
Cl 0.0000 0.0000 0.3000

Main lines, sorted by position (2θ from 10° to 90°):
hkl 1 0 10, 2θ = 27.61°, I 100.0; hkl 1 1 0, 2θ = 39.45°, I 69.5; hkl 0 2 10, 2θ = 48.83°, I 23.3; hkl 2 0 20, 2θ = 57.02°, I 10.4; hkl 2 1 10, 2θ = 64.51°, I 27.8; hkl 1 2 20, 2θ = 71.54°, I 14.9


- What is the formula in the fourth record?
  IrPtBr4N5Cl